[1]
Starting from a DFT-relaxed cell (GGA-PBE, the Materials Project), the XRD peak list of Ag5Hg4P8Cl5 was computed for λ = 1.5418 Å (Cu Kα).
Neutral-atom scattering factors, no anomalous dispersion.

Crystal structure
Cell lengths 14.650, 11.151, 6.361 Å; angles 90.00, 103.58, 90.00 degrees
Space group C2/m (No. 12)
Symmetry-distinct sites (fractional):
Ag1 0.000 0.000 0.000 (multiplicity 2)
Ag2 0.000 0.353 0.000 (multiplicity 4)
Ag3 0.204 0.500 0.945 (multiplicity 4)
Hg1 0.154 0.171 0.533 (multiplicity 8)
P1 0.053 0.349 0.400 (multiplicity 8)
P2 0.142 0.500 0.554 (multiplicity 4)
P3 0.240 0.500 0.341 (multiplicity 4)
Cl1 0.000 0.000 0.500 (multiplicity 2)
Cl2 0.139 0.165 0.023 (multiplicity 8)

Principal peaks in the range 15° ≤ 2θ ≤ 90°, low angle first:
hkl	d_spacing	2θ/deg	I/Imax
0 2 1	4.141	21.5	26.4
4 0 -1	3.456	25.8	36.2
1 3 -1	3.192	28.0	25.1
0 0 2	3.092	28.9	52.3
3 3 0	2.926	30.5	100.0
6 0 0	2.373	37.9	16.4
3 3 -2	2.298	39.2	22.2
4 0 -3	1.999	45.4	20.4
3 3 2	1.987	45.7	39.7
7 3 -1	1.817	50.2	18.7


[2]
Starting from a DFT-relaxed cell (GGA-PBE, the Materials Project), the XRD peak list of Cu9S5 was computed for λ = 1.5418 Å (Cu Kα).
Neutral-atom scattering factors, no anomalous dispersion.

Crystal structure
Cell lengths 3.8738, 3.8738, 48.2172 Å; angles 90.00, 90.00, 120.00 degrees
Space group R-3m (No. 166, hexagonal axes)
Symmetry-distinct sites (fractional):
Cu1 0.0000 0.0000 0.0000 (multiplicity 3)
Cu2 0.0000 0.0000 0.1483 (multiplicity 6)
Cu3 0.0000 0.0000 0.2519 (multiplicity 6)
Cu4 0.0000 0.0000 0.3630 (multiplicity 6)
Cu5 0.0000 0.0000 0.4480 (multiplicity 6)
S1 0.0000 0.0000 0.0999 (multiplicity 6)
S2 0.0000 0.0000 0.2988 (multiplicity 6)
S3 0.0000 0.0000 0.5000 (multiplicity 3)

Principal peaks in the range 15° ≤ 2θ ≤ 90°, low angle first:
hkl	d_spacing	2θ/deg	I/Imax
1 0 7	3.016	29.6	18.4
0 1 8	2.931	30.5	37.2
1 0 10	2.754	32.5	35.3
0 1 11	2.664	33.6	29.6
1 0 13	2.488	36.1	14.7
0 1 20	1.958	46.4	65.8
1 1 0	1.937	46.9	100.0
2 0 20	1.377	68.1	19.1
1 2 20	1.122	86.8	19.4
3 0 0	1.118	87.2	15.0


[3]
Starting from a DFT-relaxed cell (GGA-PBE, the Materials Project), the XRD peak list of NaO3 was computed for λ = 1.5418 Å (Cu Kα).
Neutral-atom scattering factors, no anomalous dispersion.

Crystal structure
Cell lengths 3.640, 5.371, 5.695 Å; angles 90.00, 90.00, 90.00 degrees
Space group Imm2 (No. 44)
Symmetry-distinct sites (fractional):
Na1 0.000 0.000 0.000 (multiplicity 2)
O1 0.000 0.000 0.476 (multiplicity 2)
O2 0.000 0.212 0.609 (multiplicity 4)

Principal peaks in the range 15° ≤ 2θ ≤ 90°, low angle first:
hkl	d_spacing	2θ/deg	I/Imax
1 0 1	3.067	29.1	31.6
1 1 0	3.013	29.6	100.0
0 0 2	2.847	31.4	52.8
1 1 2	2.070	43.7	44.2
1 2 1	2.021	44.9	32.0
0 2 2	1.954	46.5	22.9
2 0 0	1.820	50.1	20.5
2 0 2	1.534	60.4	11.1
1 3 2	1.399	66.9	10.3
2 2 2	1.332	70.7	9.4


[4]
Starting from a DFT-relaxed cell (GGA-PBE, the Materials Project), the XRD peak list of HoRhO3 was computed for λ = 1.5418 Å (Cu Kα).
Neutral-atom scattering factors, no anomalous dispersion.

Crystal structure
Cell lengths 3.937, 3.937, 3.937 Å; angles 90.00, 90.00, 90.00 degrees
Space group Pm-3m (No. 221)
Symmetry-distinct sites (fractional):
Ho1 0.000 0.000 0.000 (multiplicity 1)
Rh1 0.500 0.500 0.500 (multiplicity 1)
O1 0.000 0.500 0.500 (multiplicity 3)

Principal peaks in the range 15° ≤ 2θ ≤ 90°, low angle first:
hkl	d_spacing	2θ/deg	I/Imax
1 0 0	3.937	22.6	2.6
1 1 0	2.784	32.1	100.0
1 1 1	2.273	39.6	6.6
2 0 0	1.969	46.1	28.5
2 1 0	1.761	51.9	1.6
2 1 1	1.607	57.3	39.3
2 2 0	1.392	67.3	17.4
3 1 0	1.245	76.5	17.0
3 1 1	1.187	81.0	2.0
2 2 2	1.137	85.4	6.0


[5]
Starting from a DFT-relaxed cell (GGA-PBE, the Materials Project), the XRD peak list of LiCa3As2H was computed for λ = 1.5418 Å (Cu Kα).
Neutral-atom scattering factors, no anomalous dispersion.

Crystal structure
Cell lengths 11.481, 4.283, 11.878 Å; angles 90.00, 90.00, 90.00 degrees
Space group Pnma (No. 62)
Symmetry-distinct sites (fractional):
Li1 0.132 0.250 0.139 (multiplicity 4)
Ca1 0.060 0.250 0.378 (multiplicity 4)
Ca2 0.135 0.750 0.939 (multiplicity 4)
Ca3 0.210 0.250 0.704 (multiplicity 4)
As1 0.018 0.750 0.176 (multiplicity 4)
As2 0.184 0.750 0.514 (multiplicity 4)
H1 0.236 0.250 0.280 (multiplicity 4)

Principal peaks in the range 15° ≤ 2θ ≤ 90°, low angle first:
hkl	d_spacing	2θ/deg	I/Imax
1 1 2	3.325	26.8	88.9
2 1 2	2.972	30.1	95.3
0 1 3	2.908	30.8	89.8
1 1 3	2.819	31.7	100.0
2 0 4	2.638	34.0	53.7
3 1 2	2.572	34.9	83.8
4 1 1	2.338	38.5	54.3
4 1 2	2.213	40.8	86.1
0 2 0	2.142	42.2	86.4
3 0 5	2.018	44.9	54.2


[6]
Starting from a DFT-relaxed cell (GGA-PBE, the Materials Project), the XRD peak list of MgNbBi3O7 was computed for λ = 1.5418 Å (Cu Kα).
Neutral-atom scattering factors, no anomalous dispersion.

Crystal structure
Cell lengths 3.653, 3.658, 15.984 Å; angles 96.56, 90.00, 119.32 degrees
Space group P1 (No. 1)
Symmetry-distinct sites (fractional):
Mg1 0.000 0.000 0.000 (multiplicity 1)
Nb1 0.272 0.473 0.604 (multiplicity 1)
Bi1 0.402 0.791 0.182 (multiplicity 1)
Bi2 0.610 0.212 0.801 (multiplicity 1)
Bi3 0.819 0.616 0.407 (multiplicity 1)
O1 0.177 0.324 0.475 (multiplicity 1)
O2 0.253 0.503 0.733 (multiplicity 1)
O3 0.344 0.686 0.030 (multiplicity 1)
O4 0.460 0.900 0.333 (multiplicity 1)
O5 0.557 0.105 0.638 (multiplicity 1)
O6 0.872 0.720 0.568 (multiplicity 1)
O7 0.965 0.925 0.875 (multiplicity 1)

Principal peaks in the range 15° ≤ 2θ ≤ 90°, low angle first:
hkl	d_spacing	2θ/deg	I/Imax
0 0 3	5.282	16.8	30.1
0 0 5	3.169	28.2	52.5
0 1 -2	3.078	29.0	15.1
1 0 -2	3.022	29.6	100.0
1 -1 2	2.995	29.8	49.7
0 1 -4	2.647	33.9	48.4
-1 1 3	2.628	34.1	24.0
1 1 -1	1.846	49.4	15.3
2 -1 0	1.828	49.9	30.8
1 -2 6	1.584	58.2	24.1


[7]
Starting from a DFT-relaxed cell (GGA-PBE, the Materials Project), the XRD peak list of EuIn2 was computed for λ = 1.5418 Å (Cu Kα).
Neutral-atom scattering factors, no anomalous dispersion.

Crystal structure
Cell lengths 5.0502, 5.0502, 7.7746 Å; angles 90.00, 90.00, 120.00 degrees
Space group P6_3/mmc (No. 194)
Symmetry-distinct sites (fractional):
Eu1 0.0000 0.0000 0.2500 (multiplicity 2)
In1 0.3333 0.6667 0.0468 (multiplicity 4)

Principal peaks in the range 15° ≤ 2θ ≤ 90°, low angle first:
hkl	d_spacing	2θ/deg	I/Imax
1 0 1	3.812	23.3	11.1
1 0 2	2.906	30.8	100.0
1 1 0	2.525	35.6	81.4
1 0 3	2.230	40.5	18.5
2 0 2	1.906	47.7	29.3
1 1 4	1.540	60.1	13.7
2 1 2	1.521	60.9	27.9
3 0 0	1.458	63.8	14.3
2 2 0	1.263	75.3	8.9
3 1 2	1.158	83.5	11.6


[8]
Starting from a DFT-relaxed cell (GGA-PBE, the Materials Project), the XRD peak list of Sm4Pt was computed for λ = 1.5418 Å (Cu Kα).
Neutral-atom scattering factors, no anomalous dispersion.

Crystal structure
Cell lengths 11.164, 11.164, 11.164 Å; angles 90.00, 90.00, 90.00 degrees
Space group Fd-3m (No. 227, origin choice 2)
Symmetry-distinct sites (fractional):
Sm1 0.015 0.015 0.235 (multiplicity 32)
Pt1 0.125 0.125 0.625 (multiplicity 8)

Principal peaks in the range 15° ≤ 2θ ≤ 90°, low angle first:
hkl	d_spacing	2θ/deg	I/Imax
2 2 0	3.947	22.5	34.0
3 1 1	3.366	26.5	11.6
2 2 2	3.223	27.7	100.0
4 0 0	2.791	32.1	21.4
3 3 1	2.561	35.0	34.7
5 1 1	2.148	42.1	31.2
4 4 0	1.973	46.0	59.5
6 2 2	1.683	54.5	34.4
7 3 3	1.364	68.8	13.6
8 4 4	1.139	85.2	13.6


[9]
Starting from a DFT-relaxed cell (GGA-PBE, the Materials Project), the XRD peak list of Ti3N2 was computed for λ = 1.5418 Å (Cu Kα).
Neutral-atom scattering factors, no anomalous dispersion.

Crystal structure
Cell lengths 5.1978, 5.1978, 14.4654 Å; angles 90.00, 90.00, 120.00 degrees
Space group R-3c (No. 167, hexagonal axes)
Symmetry-distinct sites (fractional):
Ti1 0.0000 0.3230 0.2500 (multiplicity 18)
N1 0.0000 0.0000 0.1594 (multiplicity 12)

Principal peaks in the range 15° ≤ 2θ ≤ 90°, low angle first:
hkl	d_spacing	2θ/deg	I/Imax
0 1 2	3.822	23.3	4.6
1 1 0	2.599	34.5	9.3
0 0 6	2.411	37.3	17.7
1 1 3	2.288	39.4	100.0
1 1 6	1.767	51.7	24.5
3 0 0	1.500	61.8	20.3
1 1 9	1.367	68.7	16.4
3 0 6	1.274	74.5	12.2
2 2 3	1.255	75.8	11.7
2 2 6	1.144	84.7	4.7